No. 1
Simulated X-ray diffraction stick pattern of La6Cu6O17 for Cu Kα (λ = 1.5418 Å), from a cell relaxed with GGA-PBE.
Peak positions follow from Bragg's law for the DFT cell and can differ from measured ones.

Peak list (10 most intense, 2θ from 10° to 90°, low angle first)
d = 5.256 Å, rel. 27.2, hkl 0 0 2
d = 3.382 Å, rel. 28.2, hkl 1 3 0
d = 3.353 Å, rel. 45.7, hkl 2 0 0
d = 3.086 Å, rel. 29.6, hkl 2 0 1
d = 2.928 Å, rel. 100.0, hkl 1 3 -2
d = 2.767 Å, rel. 43.2, hkl 1 3 2
d = 2.628 Å, rel. 42.6, hkl 0 0 4
d = 1.957 Å, rel. 33.9, hkl 0 6 0
d = 1.946 Å, rel. 20.8, hkl 3 3 -1
d = 1.690 Å, rel. 29.6, hkl 2 6 0

Structure:
```
data_La6Cu6O17
_chemical_formula_sum 'La12 Cu12 O34'
_cell_length_a 6.7575
_cell_length_b 11.7475
_cell_length_c 10.5923
_cell_angle_alpha 90.00
_cell_angle_beta 97.06
_cell_angle_gamma 90.00
_symmetry_space_group_name_H-M 'C 1 2/m 1'
_symmetry_Int_Tables_number 12
loop_
_symmetry_equiv_pos_as_xyz
'x,y,z'
'-x,-y,-z'
'-x,y,-z'
'x,-y,z'
'x+1/2,y+1/2,z'
'-x+1/2,-y+1/2,-z'
'-x+1/2,y+1/2,-z'
'x+1/2,-y+1/2,z'
loop_
_atom_site_label
_atom_site_type_symbol
_atom_site_fract_x
_atom_site_fract_y
_atom_site_fract_z
La1 La 0.0429 0.0000 0.2367
La2 La 0.0469 0.3333 0.2597
Cu1 Cu 0.0000 0.1627 0.5000
Cu2 Cu 0.0000 0.5000 0.0000
Cu3 Cu 0.0000 0.5000 0.5000
Cu4 Cu 0.2500 0.2500 0.0000
O1 O 0.0000 0.0000 0.5000
O2 O 0.0000 0.3309 0.5000
O3 O 0.0000 0.3334 0.0000
O4 O 0.0979 0.1617 0.6707
O5 O 0.1144 0.5000 0.6680
O6 O 0.1892 0.5000 0.1435
O7 O 0.1969 0.1693 0.1433
```

No. 2
Simulated X-ray diffraction stick pattern of LaCu2O4 for Cu Kα (λ = 1.5418 Å), from a cell relaxed with GGA-PBE.
Peak positions follow from Bragg's law for the DFT cell and can differ from measured ones.

Peak list (10 most intense, 2θ from 10° to 90°, low angle first)
d = 3.186 Å, rel. 49.6, hkl 1 1 2
d = 2.961 Å, rel. 10.9, hkl 2 0 0
d = 2.865 Å, rel. 45.7, hkl 1 0 3
d = 2.557 Å, rel. 100.0, hkl 1 2 1
d = 2.536 Å, rel. 24.7, hkl 2 0 2
d = 1.864 Å, rel. 20.4, hkl 1 0 5
d = 1.750 Å, rel. 22.8, hkl 3 1 2
d = 1.690 Å, rel. 16.7, hkl 3 0 3
d = 1.620 Å, rel. 19.5, hkl 2 3 1
d = 1.593 Å, rel. 28.2, hkl 2 2 4

Structure:
```
data_LaCu2O4
_chemical_formula_sum 'La4 Cu8 O16'
_cell_length_a 5.9221
_cell_length_b 5.9221
_cell_length_c 9.8214
_cell_angle_alpha 90.00
_cell_angle_beta 90.00
_cell_angle_gamma 90.00
_symmetry_space_group_name_H-M 'I 41/a'
_symmetry_Int_Tables_number 88
loop_
_symmetry_equiv_pos_as_xyz
'x,y,z'
'-x,-y,-z'
'-y+3/4,x+1/4,z+1/4'
'y+3/4,-x+1/4,-z+1/4'
'-x+1/2,-y,z+1/2'
'x+1/2,y,-z+1/2'
'y+3/4,-x+3/4,z+3/4'
'-y+3/4,x+3/4,-z+3/4'
'x+1/2,y+1/2,z+1/2'
'-x+1/2,-y+1/2,-z+1/2'
'-y+1/4,x+3/4,z+3/4'
'y+1/4,-x+3/4,-z+3/4'
'-x,-y+1/2,z'
'x,y+1/2,-z'
'y+1/4,-x+1/4,z+1/4'
'-y+1/4,x+1/4,-z+1/4'
loop_
_atom_site_label
_atom_site_type_symbol
_atom_site_fract_x
_atom_site_fract_y
_atom_site_fract_z
La1 La 0.0000 0.2500 0.1250
Cu1 Cu 0.0000 0.0000 0.5000
O1 O 0.1449 0.4731 0.3256
```

No. 3
Simulated X-ray diffraction stick pattern of La5Cu5O13 for Cu Kα (λ = 1.5418 Å), from a cell relaxed with GGA-PBE.
Peak positions follow from Bragg's law for the DFT cell and can differ from measured ones.

Peak list (10 most intense, 2θ from 10° to 90°, low angle first)
d = 2.732 Å, rel. 100.0, hkl 2 1 1
d = 2.701 Å, rel. 48.6, hkl 1 3 0
d = 2.369 Å, rel. 10.8, hkl 2 3 0
d = 2.222 Å, rel. 17.3, hkl 1 3 1
d = 1.955 Å, rel. 18.9, hkl 0 0 2
d = 1.910 Å, rel. 18.8, hkl 4 2 0
d = 1.584 Å, rel. 19.2, hkl 1 3 2
d = 1.565 Å, rel. 25.9, hkl 3 4 1
d = 1.540 Å, rel. 11.0, hkl 1 5 1
d = 1.366 Å, rel. 11.5, hkl 4 2 2

Structure:
```
data_La5Cu5O13
_chemical_formula_sum 'La5 Cu5 O13'
_cell_length_a 8.5415
_cell_length_b 8.5415
_cell_length_c 3.9099
_cell_angle_alpha 90.00
_cell_angle_beta 90.00
_cell_angle_gamma 90.00
_symmetry_space_group_name_H-M 'P 4/m'
_symmetry_Int_Tables_number 83
loop_
_symmetry_equiv_pos_as_xyz
'x,y,z'
'-x,-y,-z'
'-y,x,z'
'y,-x,-z'
'-x,-y,z'
'x,y,-z'
'y,-x,z'
'-y,x,-z'
loop_
_atom_site_label
_atom_site_type_symbol
_atom_site_fract_x
_atom_site_fract_y
_atom_site_fract_z
La1 La 0.0000 0.0000 0.0000
La2 La 0.2237 0.6370 0.0000
Cu1 Cu 0.0767 0.3325 0.5000
Cu2 Cu 0.5000 0.5000 0.5000
O1 O 0.0755 0.3230 0.0000
O2 O 0.1067 0.7932 0.5000
O3 O 0.2618 0.4582 0.5000
O4 O 0.5000 0.5000 0.0000
```

No. 4
Simulated X-ray diffraction stick pattern of La6Cu6O17 for Cu Kα (λ = 1.5418 Å), from a cell relaxed with GGA-PBE.
Peak positions follow from Bragg's law for the DFT cell and can differ from measured ones.

Peak list (10 most intense, 2θ from 10° to 90°, low angle first)
d = 3.366 Å, rel. 54.5, hkl 1 1 0
d = 3.006 Å, rel. 31.1, hkl 1 0 3
d = 2.836 Å, rel. 100.0, hkl 2 -1 2
d = 2.809 Å, rel. 33.8, hkl 2 0 1
d = 2.631 Å, rel. 19.4, hkl 0 0 4
d = 2.073 Å, rel. 25.2, hkl 2 -1 4
d = 1.943 Å, rel. 22.1, hkl 3 0 0
d = 1.823 Å, rel. 33.0, hkl 3 0 2
d = 1.683 Å, rel. 24.5, hkl 2 2 0
d = 1.418 Å, rel. 23.2, hkl 2 2 4

Structure:
```
data_La6Cu6O17
_chemical_formula_sum 'La6 Cu6 O17'
_cell_length_a 6.7317
_cell_length_b 6.7317
_cell_length_c 10.5251
_cell_angle_alpha 90.00
_cell_angle_beta 90.00
_cell_angle_gamma 120.00
_symmetry_space_group_name_H-M 'P 3 1 2'
_symmetry_Int_Tables_number 149
loop_
_symmetry_equiv_pos_as_xyz
'x,y,z'
'-y,x-y,z'
'-x+y,-x,z'
'-y,-x,-z'
'-x+y,y,-z'
'x,x-y,-z'
loop_
_atom_site_label
_atom_site_type_symbol
_atom_site_fract_x
_atom_site_fract_y
_atom_site_fract_z
La1 La 0.0000 0.0000 0.2056
La2 La 0.3333 0.6667 0.2547
La3 La 0.6667 0.3333 0.2752
Cu1 Cu 0.1617 0.3233 0.5000
Cu2 Cu 0.5028 0.0056 0.0000
O1 O 0.0000 0.0000 0.0000
O2 O 0.0000 0.0000 0.5000
O3 O 0.0038 0.3222 0.3539
O4 O 0.3333 0.6667 0.0000
O5 O 0.3333 0.6667 0.5000
O6 O 0.3753 0.0105 0.8426
O7 O 0.6667 0.3333 0.0000
```

No. 5
Simulated X-ray diffraction stick pattern of La3Cu4P4O2 for Cu Kα (λ = 1.5418 Å), from a cell relaxed with GGA-PBE.
Peak positions follow from Bragg's law for the DFT cell and can differ from measured ones.

Peak list (10 most intense, 2θ from 10° to 90°, low angle first)
d = 3.693 Å, rel. 58.5, hkl 1 0 3
d = 3.236 Å, rel. 21.2, hkl 1 0 5
d = 2.786 Å, rel. 100.0, hkl 1 0 7
d = 2.685 Å, rel. 29.5, hkl 0 0 10
d = 2.636 Å, rel. 59.3, hkl 1 1 4
d = 2.414 Å, rel. 78.1, hkl 1 1 6
d = 2.027 Å, rel. 65.5, hkl 2 0 0
d = 1.764 Å, rel. 22.7, hkl 1 1 12
d = 1.639 Å, rel. 39.9, hkl 2 1 7
d = 1.618 Å, rel. 25.7, hkl 2 0 10

Structure:
```
data_La3Cu4P4O2
_chemical_formula_sum 'La6 Cu8 P8 O4'
_cell_length_a 4.0541
_cell_length_b 4.0541
_cell_length_c 26.8540
_cell_angle_alpha 90.00
_cell_angle_beta 90.00
_cell_angle_gamma 90.00
_symmetry_space_group_name_H-M 'I 4/m m m'
_symmetry_Int_Tables_number 139
_symmetry_space_group_name_Hall '-I 4 2'
loop_
_atom_site_label
_atom_site_type_symbol
_atom_site_fract_x
_atom_site_fract_y
_atom_site_fract_z
La1 La 0.0000 0.0000 0.0000
La2 La 0.0000 0.0000 0.2960
Cu1 Cu 0.0000 0.5000 0.0939
P1 P 0.0000 0.0000 0.1380
P2 P 0.0000 0.0000 0.4579
O1 O 0.0000 0.5000 0.2500
```

No. 6
Simulated X-ray diffraction stick pattern of SrLaCuRuO6 for Cu Kα (λ = 1.5418 Å), from a cell relaxed with GGA-PBE.
Peak positions follow from Bragg's law for the DFT cell and can differ from measured ones.

Peak list (10 most intense, 2θ from 10° to 90°, low angle first)
d = 3.614 Å, rel. 11.2, hkl 1 1 0
d = 2.970 Å, rel. 22.8, hkl 0 2 0
d = 2.836 Å, rel. 28.5, hkl 2 0 -2
d = 2.795 Å, rel. 100.0, hkl 1 1 -3
d = 2.051 Å, rel. 24.6, hkl 2 2 -2
d = 1.910 Å, rel. 14.3, hkl 0 0 4
d = 1.816 Å, rel. 10.5, hkl 1 3 0
d = 1.629 Å, rel. 23.9, hkl 3 1 -1
d = 1.584 Å, rel. 11.1, hkl 2 0 -6
d = 1.398 Å, rel. 12.0, hkl 2 2 2

Structure:
```
data_SrLaCuRuO6
_chemical_formula_sum 'Sr2 La2 Cu2 Ru2 O12'
_cell_length_a 5.6718
_cell_length_b 5.9393
_cell_length_c 9.5095
_cell_angle_alpha 90.00
_cell_angle_beta 126.55
_cell_angle_gamma 90.00
_symmetry_space_group_name_H-M 'P 1 c 1'
_symmetry_Int_Tables_number 7
loop_
_symmetry_equiv_pos_as_xyz
'x,y,z'
'x,-y,z+1/2'
loop_
_atom_site_label
_atom_site_type_symbol
_atom_site_fract_x
_atom_site_fract_y
_atom_site_fract_z
Sr1 Sr 0.0000 0.2089 0.0000
La1 La 0.5176 0.3230 0.5005
Cu1 Cu 0.7556 0.2196 0.2485
Ru1 Ru 0.2536 0.2362 0.7472
O1 O 0.0167 0.4888 0.2063
O2 O 0.0943 0.2220 0.4956
O3 O 0.4385 0.2734 0.0003
O4 O 0.4720 0.0459 0.2925
O5 O 0.5614 0.4376 0.7814
O6 O 0.9145 0.0652 0.7022
```

No. 7
Simulated X-ray diffraction stick pattern of La3CuS3O2 for Cu Kα (λ = 1.5418 Å), from a cell relaxed with GGA-PBE.
Peak positions follow from Bragg's law for the DFT cell and can differ from measured ones.

Peak list (10 most intense, 2θ from 10° to 90°, low angle first)
d = 3.761 Å, rel. 49.5, hkl 3 0 2
d = 3.390 Å, rel. 19.4, hkl 4 0 1
d = 3.144 Å, rel. 22.7, hkl 0 0 4
d = 2.935 Å, rel. 49.1, hkl 3 1 1
d = 2.872 Å, rel. 100.0, hkl 0 1 3
d = 2.696 Å, rel. 36.6, hkl 4 0 3
d = 2.626 Å, rel. 24.9, hkl 4 1 0
d = 2.450 Å, rel. 33.7, hkl 3 1 3
d = 1.971 Å, rel. 26.8, hkl 0 2 0
d = 1.723 Å, rel. 28.0, hkl 7 1 2

Structure:
```
data_La3CuS3O2
_chemical_formula_sum 'La12 Cu4 S12 O8'
_cell_length_a 14.0805
_cell_length_b 3.9422
_cell_length_c 12.5742
_cell_angle_alpha 90.00
_cell_angle_beta 90.00
_cell_angle_gamma 90.00
_symmetry_space_group_name_H-M 'P n m a'
_symmetry_Int_Tables_number 62
loop_
_symmetry_equiv_pos_as_xyz
'x,y,z'
'-x,-y,-z'
'-x+1/2,-y,z+1/2'
'x+1/2,y,-z+1/2'
'x+1/2,-y+1/2,-z+1/2'
'-x+1/2,y+1/2,z+1/2'
'-x,y+1/2,-z'
'x,-y+1/2,z'
loop_
_atom_site_label
_atom_site_type_symbol
_atom_site_fract_x
_atom_site_fract_y
_atom_site_fract_z
La1 La 0.0774 0.2500 0.0998
La2 La 0.1319 0.7500 0.5956
La3 La 0.2080 0.7500 0.8878
Cu1 Cu 0.0853 0.7500 0.3287
S1 S 0.0561 0.2500 0.7634
S2 S 0.0871 0.2500 0.4324
S3 S 0.2179 0.7500 0.2124
O1 O 0.0734 0.7500 0.9934
O2 O 0.2289 0.2500 0.9938
```

No. 8
Simulated X-ray diffraction stick pattern of La4Cu4SeS3O4 for Cu Kα (λ = 1.5418 Å), from a cell relaxed with GGA-PBE.
Peak positions follow from Bragg's law for the DFT cell and can differ from measured ones.

Peak list (10 most intense, 2θ from 10° to 90°, low angle first)
d = 3.637 Å, rel. 28.4, hkl 1 1 1
d = 2.934 Å, rel. 100.0, hkl 1 1 2
d = 2.868 Å, rel. 14.0, hkl 0 0 3
d = 2.838 Å, rel. 14.0, hkl 2 0 0
d = 2.695 Å, rel. 33.5, hkl 2 0 1
d = 2.369 Å, rel. 37.1, hkl 2 0 2
d = 2.007 Å, rel. 39.1, hkl 2 2 0
d = 1.714 Å, rel. 34.2, hkl 2 0 4
d = 1.656 Å, rel. 35.7, hkl 3 1 2
d = 1.093 Å, rel. 15.0, hkl 4 2 4

Structure:
```
data_La4Cu4SeS3O4
_chemical_formula_sum 'La4 Cu4 Se1 S3 O4'
_cell_length_a 5.6755
_cell_length_b 5.6755
_cell_length_c 8.6032
_cell_angle_alpha 90.00
_cell_angle_beta 90.00
_cell_angle_gamma 90.00
_symmetry_space_group_name_H-M 'P 4 m m'
_symmetry_Int_Tables_number 99
loop_
_symmetry_equiv_pos_as_xyz
'x,y,z'
'-y,x,z'
'-x,-y,z'
'y,-x,z'
'-x,y,z'
'y,x,z'
'x,-y,z'
'-y,-x,z'
loop_
_atom_site_label
_atom_site_type_symbol
_atom_site_fract_x
_atom_site_fract_y
_atom_site_fract_z
La1 La 0.0000 0.0000 0.0000
La2 La 0.0000 0.5000 0.2916
La3 La 0.5000 0.5000 0.9983
Cu1 Cu 0.2398 0.2398 0.6549
Se1 Se 0.5000 0.5000 0.4857
S1 S 0.0000 0.0000 0.4844
S2 S 0.0000 0.5000 0.8092
O1 O 0.2500 0.2500 0.1453
```